Computed powder X-ray diffraction pattern
Compound: Nd4Dy5Sc3
Radiation: Cu Kα (weighted mean of Kα1 and Kα2)
Structure: a structure optimized by DFT (GGA-PBE)
Lines closer than 0.1° are merged.

Structural model:
a = 8.5103 Å, b = 8.5103 Å, c = 9.2396 Å
α = 115.77°, β = 115.77°, γ = 39.75°
Fractional positions:
Nd1 0.0857 0.0857 0.4480
Nd2 0.2186 0.2186 0.8823
Nd3 0.7814 0.7814 0.1177
Nd4 0.9143 0.9143 0.5520
Dy1 0.0000 0.0000 0.0000
Dy2 0.3284 0.3284 0.6240
Dy3 0.4294 0.4294 0.2871
Dy4 0.5706 0.5706 0.7129
Dy5 0.6716 0.6716 0.3760
Sc1 0.2175 0.2175 0.2387
Sc2 0.5000 0.5000 0.0000
Sc3 0.7825 0.7825 0.7613

Top 10 peaks for 10° ≤ 2θ ≤ 90°, by angle:
two_theta	intensity
29.1	31.4
29.7	46.7
30.1	47.1
30.9	100.0
31.8	38.7
32.2	86.1
32.8	66.8
33.2	34.4
34.1	48.3
55.7	30.6